(1)
Diffraction record for Te2MoWS2. The X-ray diffraction stick pattern is simulated, not measured: it uses a GGA-PBE-relaxed structure and Cu Kα X-rays.

The 10 most intense peaks (10 to 90 degrees two-theta), in order of rising 2θ:
| Position (°2θ) | Rel. int. |
| --- | --- |
| 11.47 | 100 |
| 16.08 | 21 |
| 20.73 | 15 |
| 30.82 | 65 |
| 34.91 | 16 |
| 36.09 | 94 |
| 37.37 | 28 |
| 43.60 | 48 |
| 54.73 | 34 |
| 76.98 | 15 |

```
Te2MoWS2
1.0
3.3550 0.0000 0.0000
-1.6775 2.9055 0.0000
0.0000 0.0000 38.5723
Te Mo W S
4 2 2 4
Cartesian
0.0000 1.9370 13.7639
0.0000 1.9370 17.5446
1.6775 0.9685 21.0277
1.6775 0.9685 24.8084
0.0000 1.9370 22.9188
1.6775 0.9685 15.6535
0.0000 1.9370 8.4159
1.6775 0.9685 30.1564
0.0000 1.9370 28.6370
0.0000 1.9370 31.6750
1.6775 0.9685 6.8973
1.6775 0.9685 9.9353
```

(2)
Diffraction record for DyFe10Si2. The X-ray diffraction stick pattern is simulated, not measured: it uses a GGA-PBE-relaxed structure and Cu Kα X-rays.

The 10 most intense peaks (10 to 90 degrees two-theta), in order of rising 2θ:
| Position (°2θ) | Rel. int. |
| --- | --- |
| 21.56 | 12 |
| 30.44 | 21 |
| 30.57 | 18 |
| 37.49 | 18 |
| 37.66 | 38 |
| 43.41 | 24 |
| 43.64 | 100 |
| 43.90 | 72 |
| 49.33 | 15 |
| 72.40 | 17 |

```
DyFe10Si2
1.0
-2.3751 4.1449 4.1693
2.3751 -4.1449 4.1693
2.3751 4.1449 -4.1693
Dy Fe Si
1 10 2
Cartesian
0.0000 0.0000 0.0000
1.1876 2.0724 -2.0847
1.1876 -2.0724 2.0847
2.3751 1.7341 0.0000
0.0000 2.9383 0.0000
0.0000 0.0000 3.0144
-1.1876 2.0724 2.0847
1.1876 2.0724 2.0847
0.0000 0.0000 5.3242
0.0000 5.3514 0.0000
0.0000 2.4107 4.1693
2.3751 0.0000 1.9620
0.0000 4.1449 2.2074
```

(3)
Diffraction record for ReN2Cl6. The X-ray diffraction stick pattern is simulated, not measured: it uses a GGA-PBE-relaxed structure and Cu Kα X-rays.

The 10 most intense peaks (10 to 90 degrees two-theta), in order of rising 2θ:
| Position (°2θ) | Rel. int. |
| --- | --- |
| 15.32 | 100 |
| 17.70 | 64 |
| 25.14 | 21 |
| 29.57 | 42 |
| 35.85 | 35 |
| 40.25 | 29 |
| 47.13 | 24 |
| 51.60 | 22 |
| 54.15 | 22 |
| 54.98 | 15 |

```
ReN2Cl6
1.0
0.0000 5.0102 5.0102
5.0102 0.0000 5.0102
5.0102 5.0102 0.0000
Re N Cl
1 2 6
Cartesian
0.0000 0.0000 0.0000
2.5051 2.5051 2.5051
7.5153 7.5153 7.5153
5.0102 5.0102 2.2959
5.0102 2.2959 5.0102
7.7245 5.0102 5.0102
2.2959 5.0102 5.0102
5.0102 7.7245 5.0102
5.0102 5.0102 7.7245
```

(4)
Diffraction record for Mg14CoCu. The X-ray diffraction stick pattern is simulated, not measured: it uses a GGA-PBE-relaxed structure and Cu Kα X-rays.

The 10 most intense peaks (10 to 90 degrees two-theta), in order of rising 2θ:
| Position (°2θ) | Rel. int. |
| --- | --- |
| 16.51 | 18 |
| 24.81 | 9 |
| 33.37 | 27 |
| 37.27 | 24 |
| 38.36 | 100 |
| 50.88 | 15 |
| 59.64 | 17 |
| 67.93 | 17 |
| 72.46 | 18 |
| 73.17 | 13 |

```
Mg14CoCu
1.0
6.2016 0.0000 0.0000
-3.1008 5.3707 0.0000
0.0000 0.0000 9.6505
Mg Co Cu
14 1 1
Cartesian
0.0000 0.0000 2.4008
0.0000 0.0000 7.2497
-1.4700 2.7318 2.4420
-1.4700 2.7318 7.2084
1.5505 0.8952 0.0000
1.5500 0.8949 4.8252
1.4700 2.7318 2.4420
1.4700 2.7318 7.2084
0.0000 5.2779 2.4420
0.0000 5.2779 7.2084
4.6510 0.8952 0.0000
4.6516 0.8949 4.8252
3.1008 3.5803 0.0000
3.1008 3.5809 4.8252
0.0000 3.5805 4.8252
0.0000 3.5805 0.0000
```

(5)
Diffraction record for Rb3PrF6. The X-ray diffraction stick pattern is simulated, not measured: it uses a GGA-PBE-relaxed structure and Cu Kα X-rays.

The 10 most intense peaks (10 to 90 degrees two-theta), in order of rising 2θ:
| Position (°2θ) | Rel. int. |
| --- | --- |
| 17.82 | 8 |
| 25.30 | 100 |
| 36.09 | 40 |
| 44.59 | 43 |
| 51.96 | 26 |
| 58.65 | 20 |
| 64.89 | 8 |
| 70.83 | 23 |
| 82.16 | 11 |
| 87.68 | 11 |

```
Rb3PrF6
1.0
0.0000 4.9776 4.9776
4.9776 0.0000 4.9776
4.9776 4.9776 0.0000
Rb Pr F
3 1 6
Cartesian
0.0000 0.0000 0.0000
2.4888 2.4888 2.4888
7.4665 7.4665 7.4665
4.9776 4.9776 4.9776
4.9776 4.9776 2.6731
4.9776 2.6731 4.9776
7.2822 4.9776 4.9776
2.6731 4.9776 4.9776
4.9776 7.2822 4.9776
4.9776 4.9776 7.2822
```

(6)
Diffraction record for Nd2Co3Ge5. The X-ray diffraction stick pattern is simulated, not measured: it uses a GGA-PBE-relaxed structure and Cu Kα X-rays.

The 10 most intense peaks (10 to 90 degrees two-theta), in order of rising 2θ:
| Position (°2θ) | Rel. int. |
| --- | --- |
| 34.66 | 45 |
| 35.15 | 62 |
| 35.26 | 93 |
| 35.45 | 61 |
| 36.09 | 49 |
| 43.34 | 100 |
| 56.65 | 20 |
| 57.66 | 21 |
| 63.64 | 19 |
| 74.51 | 22 |

```
Nd2Co3Ge5
1.0
5.6505 -5.9626 0.0000
5.6505 5.9626 0.0000
-2.9285 0.0000 5.0643
Nd Co Ge
4 6 10
Cartesian
1.9620 1.6285 1.1852
0.4977 -1.6285 3.7174
7.8748 1.6285 1.3469
6.4106 -1.6285 3.8791
3.3787 4.3121 1.9434
6.4582 4.3121 0.5888
4.9184 0.0410 1.2661
3.4542 -0.0410 3.7983
1.9144 -4.3121 4.4756
4.9939 -4.3121 3.1209
3.4542 5.8898 3.7983
1.3629 1.1308 4.2184
3.4542 2.7491 3.7983
4.9184 2.6355 1.2661
2.8272 -1.1308 1.6863
5.5454 1.1308 3.3781
3.4542 -2.6355 3.7983
4.9184 -2.7491 1.2661
7.0097 -1.1308 0.8459
4.9184 -5.8898 1.2661
```